Record 1
Diffraction record for LaAgSnSe3. The powder XRD pattern is computed, not measured: it uses the PBE geometry in OQMD and CuKα.
Kinematic intensities with the Lorentz-polarization factor, no thermal factor.

The 8 most intense peaks (2θ = 5–70°), by intensity:
d = 2.895 Å, 2θ = 30.89°, rel. 1000; d = 2.661 Å, 2θ = 33.68°, rel. 940; d = 2.207 Å, 2θ = 40.89°, rel. 619; d = 3.057 Å, 2θ = 29.21°, rel. 442; d = 2.647 Å, 2θ = 33.87°, rel. 411; d = 3.419 Å, 2θ = 26.06°, rel. 341; d = 2.449 Å, 2θ = 36.69°, rel. 329; d = 1.698 Å, 2θ = 54.00°, rel. 290

Crystal structure
```
24
Lattice="11.824 0.000 0.000 0.000 4.414 0.000 0.000 0.000 12.161" Properties=species:S:1:pos:R:3 pbc="T T T"
La 0.135 1.104 2.244
La 5.777 3.311 8.324
La 6.047 1.104 3.837
La 11.689 3.311 9.917
Ag 2.921 3.311 3.538
Ag 2.991 1.104 9.618
Ag 8.833 3.311 2.543
Ag 8.902 1.104 8.623
Sn 2.004 1.104 6.149
Sn 3.908 3.311 0.069
Sn 7.916 1.104 12.092
Sn 9.820 3.311 6.012
Se 0.440 3.311 4.489
Se 1.126 1.104 11.431
Se 2.614 3.311 8.159
Se 3.297 1.104 2.078
Se 4.786 3.311 5.350
Se 5.472 1.104 10.569
Se 6.352 3.311 1.592
Se 7.038 1.104 6.811
Se 8.526 3.311 10.083
Se 9.209 1.104 4.002
Se 10.697 3.311 0.730
Se 11.383 1.104 7.672
```

Record 2
Diffraction record for SrLaAgTe2Se. The powder XRD pattern is computed, not measured: it uses the PBE geometry in OQMD and CuKα.
Kinematic intensities with the Lorentz-polarization factor, no thermal factor.

The 8 most intense peaks (2θ = 5–70°), by intensity:
d = 2.846 Å, 2θ = 31.44°, rel. 1000; d = 3.168 Å, 2θ = 28.17°, rel. 552; d = 3.302 Å, 2θ = 27.00°, rel. 460; d = 2.236 Å, 2θ = 40.33°, rel. 388; d = 3.332 Å, 2θ = 26.76°, rel. 379; d = 2.249 Å, 2θ = 40.09°, rel. 360; d = 2.815 Å, 2θ = 31.78°, rel. 321; d = 1.856 Å, 2θ = 49.08°, rel. 298

Crystal structure
```
12
Lattice="2.236 -7.345 0.000 2.236 7.345 0.000 0.000 0.000 11.217" Properties=species:S:1:pos:R:3 pbc="T T T"
Sr 2.236 3.885 8.412
Sr 2.236 -3.885 2.804
La 2.236 0.000 0.000
La 2.236 0.000 5.608
Ag 2.236 6.981 2.804
Ag 2.236 -6.981 8.412
Te 2.236 5.126 0.705
Te 2.236 5.126 4.903
Te 2.236 -5.126 6.313
Te 2.236 -5.126 10.512
Se 2.236 1.208 2.804
Se 2.236 -1.208 8.412
```

Record 3
Diffraction record for La2SmZn2Si4Ag2. The powder XRD pattern is computed, not measured: it uses the PBE geometry in OQMD and CuKα.
Kinematic intensities with the Lorentz-polarization factor, no thermal factor.

The 8 most intense peaks (2θ = 5–70°), by intensity:
d = 2.720 Å, 2θ = 32.92°, rel. 1000; d = 2.744 Å, 2θ = 32.64°, rel. 371; d = 2.161 Å, 2θ = 41.80°, rel. 217; d = 2.099 Å, 2θ = 43.09°, rel. 198; d = 2.035 Å, 2θ = 44.52°, rel. 182; d = 3.848 Å, 2θ = 23.11°, rel. 181; d = 1.698 Å, 2θ = 54.02°, rel. 174; d = 2.361 Å, 2θ = 38.11°, rel. 155

Crystal structure
```
11
Lattice="-2.099 2.161 12.687 2.099 -2.161 12.687 2.099 2.161 -12.687" Properties=species:S:1:pos:R:3 pbc="T T T"
La 0.000 0.000 3.767
La 0.000 0.000 21.607
Sm 0.000 2.161 0.000
Zn 2.099 0.000 6.349
Zn 0.000 2.161 6.339
Si 2.099 0.000 1.171
Si 0.000 0.000 7.766
Si 0.000 0.000 17.609
Si 0.000 2.161 11.516
Ag 0.000 0.000 10.287
Ag 0.000 0.000 15.088
```

Record 4
Diffraction record for La2AgSn. The powder XRD pattern is computed, not measured: it uses the PBE geometry in OQMD and CuKα.
Kinematic intensities with the Lorentz-polarization factor, no thermal factor.

The 5 most intense peaks (2θ = 5–70°), by intensity:
d = 2.746 Å, 2θ = 32.60°, rel. 1000; d = 1.586 Å, 2θ = 58.18°, rel. 378; d = 1.942 Å, 2θ = 46.78°, rel. 182; d = 1.373 Å, 2θ = 68.31°, rel. 117; d = 3.884 Å, 2θ = 22.90°, rel. 8

Crystal structure
```
24
Lattice="5.492 0.000 0.000 0.000 16.477 0.000 0.000 0.000 7.769" Properties=species:S:1:pos:R:3 pbc="T T T"
La 0.000 0.000 1.942
La 0.000 0.000 5.827
La 0.000 5.492 1.942
La 0.000 5.492 5.827
La 0.000 10.984 1.942
La 0.000 10.984 5.827
La 2.746 2.746 1.942
La 2.746 2.746 5.827
La 2.746 8.238 1.942
La 2.746 8.238 5.827
La 2.746 13.731 1.942
La 2.746 13.731 5.827
Ag 0.000 8.238 0.000
Ag 0.006 2.746 0.000
Ag 2.740 10.985 3.885
Ag 2.746 0.000 3.885
Ag 2.752 5.492 3.885
Ag 5.486 13.730 0.000
Sn 5.491 2.746 3.885
Sn 0.000 8.238 3.885
Sn 0.002 13.731 3.885
Sn 2.746 0.000 0.000
Sn 2.745 5.492 0.000
Sn 2.748 10.984 0.000
```

Record 5
Diffraction record for LaYAg2Sn2. The powder XRD pattern is computed, not measured: it uses the PBE geometry in OQMD and CuKα.
Kinematic intensities with the Lorentz-polarization factor, no thermal factor.

The 8 most intense peaks (2θ = 5–70°), by intensity:
d = 2.798 Å, 2θ = 31.99°, rel. 1000; d = 2.390 Å, 2θ = 37.63°, rel. 829; d = 1.817 Å, 2θ = 50.20°, rel. 279; d = 1.447 Å, 2θ = 64.40°, rel. 261; d = 1.486 Å, 2θ = 62.48°, rel. 179; d = 2.159 Å, 2θ = 41.84°, rel. 173; d = 1.380 Å, 2θ = 67.92°, rel. 144; d = 3.635 Å, 2θ = 24.49°, rel. 140

Crystal structure
```
6
Lattice="4.781 0.000 0.000 -2.390 4.140 0.000 0.000 0.000 7.592" Properties=species:S:1:pos:R:3 pbc="T T T"
La 0.000 0.000 0.000
Y 0.000 0.000 3.811
Ag 0.000 2.760 5.209
Ag 2.390 1.380 1.680
Sn 0.000 2.760 2.182
Sn 2.390 1.380 5.867
```

Record 6
Diffraction record for LaAg3Te3. The powder XRD pattern is computed, not measured: it uses the PBE geometry in OQMD and CuKα.
Kinematic intensities with the Lorentz-polarization factor, no thermal factor.

The 8 most intense peaks (2θ = 5–70°), by intensity:
d = 2.716 Å, 2θ = 32.97°, rel. 1000; d = 2.308 Å, 2θ = 39.03°, rel. 929; d = 3.518 Å, 2θ = 25.32°, rel. 607; d = 2.100 Å, 2θ = 43.07°, rel. 556; d = 3.997 Å, 2θ = 22.24°, rel. 279; d = 1.759 Å, 2θ = 51.99°, rel. 249; d = 1.399 Å, 2θ = 66.88°, rel. 209; d = 1.553 Å, 2θ = 59.51°, rel. 193

Crystal structure
```
14
Lattice="3.997 2.308 7.406 -3.997 2.308 7.406 0.000 -4.616 7.406" Properties=species:S:1:pos:R:3 pbc="T T T"
La 0.000 0.000 3.693
La 0.000 0.000 18.524
Ag -2.854 0.022 8.328
Ag -1.447 -2.461 13.889
Ag 1.408 -2.483 8.328
Ag -1.408 2.483 13.889
Ag 1.447 2.461 8.328
Ag 2.854 -0.022 13.889
Te -1.285 -2.201 9.380
Te -2.549 0.013 12.837
Te -1.263 2.214 9.380
Te 1.263 -2.214 12.837
Te 2.549 -0.013 9.380
Te 1.285 2.201 12.837
```

Question: Which formula does entry 5 have?
Answer: LaYAg2Sn2